# 1
For La2PrNb2N6, a structure optimized by DFT (GGA-PBE) gives the theoretical XRD peak list in this record (Cu Ka).
Intensities are scaled so that the largest is 100.

Largest 10 diffraction maxima, in order of falling intensity, 10° ≤ 2θ ≤ 90°:
d 2.851, 31.4°, rel. 100
d 2.884, 31.0°, rel. 63
d 1.659, 55.4°, rel. 43
d 2.039, 44.4°, rel. 32
d 2.178, 41.5°, rel. 14
d 1.287, 73.6°, rel. 13
d 1.640, 56.1°, rel. 12
d 1.290, 73.4°, rel. 11
d 1.442, 64.6°, rel. 10
d 2.335, 38.6°, rel. 9

a = 10.376 Å, b = 10.376 Å, c = 10.376 Å
α = 157.33°, β = 157.33°, γ = 32.28°
Fractional coordinates of all 11 atoms:
1 La 0.180 0.180 0.000
2 La 0.820 0.820 0.000
3 Pr 0.000 0.000 0.000
4 Nb 0.400 0.400 0.000
5 Nb 0.600 0.600 0.000
6 N 0.083 0.583 0.500
7 N 0.301 0.301 0.000
8 N 0.417 0.917 0.500
9 N 0.583 0.083 0.500
10 N 0.699 0.699 0.000
11 N 0.917 0.417 0.500

---

# 2
For Sc, a structure optimized by DFT (GGA-PBE) gives the theoretical XRD peak list in this record (Cu Ka).
Intensities are scaled so that the largest is 100.

Largest 10 diffraction maxima, in order of falling intensity, 10° ≤ 2θ ≤ 90°:
d 2.534, 35.4°, rel. 100
d 2.583, 34.7°, rel. 94
d 1.809, 50.5°, rel. 29
d 1.472, 63.2°, rel. 28
d 1.351, 69.6°, rel. 23
d 1.463, 63.6°, rel. 15
d 1.137, 85.3°, rel. 11
d 1.985, 45.7°, rel. 10
d 1.267, 75.0°, rel. 9
d 3.194, 27.9°, rel. 7

a = 5.067 Å, b = 5.067 Å, c = 3.194 Å
α = 90.00°, β = 90.00°, γ = 120.00°
Fractional coordinates of all 3 atoms:
1 Sc 0.000 0.000 0.000
2 Sc 0.333 0.667 0.500
3 Sc 0.667 0.333 0.500

---

# 3
For Sc5Si10Ir4, a structure optimized by DFT (GGA-PBE) gives the theoretical XRD peak list in this record (Cu Ka).
Intensities are scaled so that the largest is 100.

Largest 10 diffraction maxima, in order of falling intensity, 10° ≤ 2θ ≤ 90°:
d 4.383, 20.3°, rel. 100
d 2.471, 36.4°, rel. 87
d 2.992, 29.9°, rel. 75
d 4.094, 21.7°, rel. 51
d 3.100, 28.8°, rel. 45
d 1.768, 51.7°, rel. 40
d 1.960, 46.3°, rel. 31
d 1.932, 47.0°, rel. 28
d 2.047, 44.2°, rel. 28
d 1.416, 66.0°, rel. 22

a = 12.398 Å, b = 12.398 Å, c = 4.094 Å
α = 90.00°, β = 90.00°, γ = 90.00°
Fractional coordinates of all 38 atoms:
1 Sc 0.000 0.000 0.000
2 Sc 0.117 0.383 0.500
3 Sc 0.173 0.673 0.500
4 Sc 0.327 0.173 0.500
5 Sc 0.383 0.883 0.500
6 Sc 0.500 0.500 0.000
7 Sc 0.617 0.117 0.500
8 Sc 0.673 0.827 0.500
9 Sc 0.827 0.327 0.500
10 Sc 0.883 0.617 0.500
11 Si 0.005 0.848 0.500
12 Si 0.066 0.566 0.000
13 Si 0.152 0.005 0.500
14 Si 0.166 0.200 0.000
15 Si 0.200 0.834 0.000
16 Si 0.300 0.334 0.000
17 Si 0.334 0.700 0.000
18 Si 0.348 0.505 0.500
19 Si 0.434 0.066 0.000
20 Si 0.495 0.348 0.500
21 Si 0.505 0.652 0.500
22 Si 0.566 0.934 0.000
23 Si 0.652 0.495 0.500
24 Si 0.666 0.300 0.000
25 Si 0.700 0.666 0.000
26 Si 0.800 0.166 0.000
27 Si 0.834 0.800 0.000
28 Si 0.848 0.995 0.500
29 Si 0.934 0.434 0.000
30 Si 0.995 0.152 0.500
31 Ir 0.019 0.753 0.000
32 Ir 0.247 0.019 0.000
33 Ir 0.253 0.519 0.000
34 Ir 0.481 0.253 0.000
35 Ir 0.519 0.747 0.000
36 Ir 0.747 0.481 0.000
37 Ir 0.753 0.981 0.000
38 Ir 0.981 0.247 0.000

---

# 4
For NaTbCdTe3, a structure optimized by DFT (GGA-PBE) gives the theoretical XRD peak list in this record (Cu Ka).
Intensities are scaled so that the largest is 100.

Largest 10 diffraction maxima, in order of falling intensity, 10° ≤ 2θ ≤ 90°:
d 3.050, 29.3°, rel. 100
d 4.389, 20.2°, rel. 64
d 2.407, 37.4°, rel. 58
d 2.416, 37.2°, rel. 49
d 2.256, 40.0°, rel. 48
d 2.861, 31.3°, rel. 36
d 2.744, 32.6°, rel. 32
d 2.767, 32.4°, rel. 29
d 3.192, 28.0°, rel. 27
d 2.355, 38.2°, rel. 24

a = 8.683 Å, b = 4.513 Å, c = 18.835 Å
α = 90.00°, β = 90.00°, γ = 90.00°
Fractional coordinates of all 24 atoms:
1 Na 0.066 0.250 0.196
2 Na 0.434 0.750 0.696
3 Na 0.566 0.250 0.304
4 Na 0.934 0.750 0.804
5 Tb 0.227 0.250 0.961
6 Tb 0.273 0.750 0.461
7 Tb 0.727 0.250 0.539
8 Tb 0.773 0.750 0.039
9 Cd 0.059 0.250 0.665
10 Cd 0.441 0.750 0.165
11 Cd 0.559 0.250 0.835
12 Cd 0.941 0.750 0.335
13 Te 0.008 0.250 0.425
14 Te 0.128 0.750 0.065
15 Te 0.224 0.250 0.792
16 Te 0.276 0.750 0.292
17 Te 0.372 0.250 0.565
18 Te 0.492 0.750 0.925
19 Te 0.508 0.250 0.075
20 Te 0.628 0.750 0.435
21 Te 0.724 0.250 0.708
22 Te 0.776 0.750 0.208
23 Te 0.872 0.250 0.935
24 Te 0.992 0.750 0.575

---

# 5
For Ta2Tl3Sn3, a structure optimized by DFT (GGA-PBE) gives the theoretical XRD peak list in this record (Cu Ka).
Intensities are scaled so that the largest is 100.

Largest 10 diffraction maxima, in order of falling intensity, 10° ≤ 2θ ≤ 90°:
d 2.243, 40.2°, rel. 100
d 2.068, 43.8°, rel. 55
d 3.560, 25.0°, rel. 54
d 4.136, 21.5°, rel. 45
d 3.966, 22.4°, rel. 39
d 2.925, 30.6°, rel. 31
d 1.225, 78.0°, rel. 30
d 2.316, 38.9°, rel. 28
d 2.477, 36.3°, rel. 27
d 2.863, 31.2°, rel. 24

a = 4.136 Å, b = 4.136 Å, c = 13.978 Å
α = 90.00°, β = 90.00°, γ = 90.00°
Fractional coordinates of all 8 atoms:
1 Ta 0.000 0.500 0.144
2 Ta 0.500 0.000 0.856
3 Tl 0.000 0.000 0.288
4 Tl 0.000 0.000 0.500
5 Tl 0.000 0.000 0.712
6 Sn 0.000 0.000 0.000
7 Sn 0.500 0.500 0.000
8 Sn 0.500 0.500 0.500

---

# 6
For DyFe4Ge2, a structure optimized by DFT (GGA-PBE) gives the theoretical XRD peak list in this record (Cu Ka).
Intensities are scaled so that the largest is 100.

Largest 10 diffraction maxima, in order of falling intensity, 10° ≤ 2θ ≤ 90°:
d 2.438, 36.9°, rel. 100
d 2.383, 37.8°, rel. 55
d 2.571, 34.9°, rel. 54
d 2.034, 44.6°, rel. 52
d 1.884, 48.3°, rel. 39
d 2.509, 35.8°, rel. 37
d 2.135, 42.3°, rel. 32
d 2.162, 41.8°, rel. 31
d 1.547, 59.8°, rel. 27
d 3.468, 25.7°, rel. 23

a = 6.640 Å, b = 7.658 Å, c = 4.067 Å
α = 90.00°, β = 90.00°, γ = 90.00°
Fractional coordinates of all 14 atoms:
1 Dy 0.000 0.000 0.000
2 Dy 0.500 0.500 0.500
3 Fe 0.062 0.351 0.500
4 Fe 0.141 0.623 0.000
5 Fe 0.359 0.123 0.500
6 Fe 0.438 0.851 0.000
7 Fe 0.562 0.149 0.000
8 Fe 0.641 0.877 0.500
9 Fe 0.859 0.377 0.000
10 Fe 0.938 0.649 0.500
11 Ge 0.247 0.815 0.500
12 Ge 0.253 0.315 0.000
13 Ge 0.747 0.685 0.000
14 Ge 0.753 0.185 0.500

---

# 7
For CuAg4, a structure optimized by DFT (GGA-PBE) gives the theoretical XRD peak list in this record (Cu Ka).
Intensities are scaled so that the largest is 100.

Largest 10 diffraction maxima, in order of falling intensity, 10° ≤ 2θ ≤ 90°:
d 2.322, 38.8°, rel. 100
d 2.364, 38.1°, rel. 91
d 2.084, 43.4°, rel. 67
d 1.416, 66.0°, rel. 26
d 1.238, 77.0°, rel. 21
d 1.931, 47.1°, rel. 20
d 1.257, 75.7°, rel. 18
d 1.453, 64.1°, rel. 11
d 2.383, 37.7°, rel. 10
d 1.495, 62.1°, rel. 9

a = 7.123 Å, b = 2.906 Å, c = 8.278 Å
α = 90.00°, β = 101.73°, γ = 90.00°
Fractional coordinates of all 10 atoms:
1 Cu 0.120 0.250 0.447
2 Cu 0.880 0.750 0.553
3 Ag 0.035 0.750 0.158
4 Ag 0.267 0.750 0.723
5 Ag 0.344 0.250 0.045
6 Ag 0.410 0.750 0.358
7 Ag 0.590 0.250 0.642
8 Ag 0.656 0.750 0.955
9 Ag 0.733 0.250 0.277
10 Ag 0.965 0.250 0.842

---

# 8
For PmThIn, a structure optimized by DFT (GGA-PBE) gives the theoretical XRD peak list in this record (Cu Ka).
Intensities are scaled so that the largest is 100.

Largest 10 diffraction maxima, in order of falling intensity, 10° ≤ 2θ ≤ 90°:
d 2.668, 33.6°, rel. 100
d 1.540, 60.1°, rel. 38
d 3.773, 23.6°, rel. 33
d 4.356, 20.4°, rel. 19
d 1.886, 48.2°, rel. 18
d 1.193, 80.5°, rel. 16
d 1.687, 54.4°, rel. 14
d 1.334, 70.6°, rel. 12
d 2.275, 39.6°, rel. 11
d 2.178, 41.5°, rel. 10

a = 5.336 Å, b = 5.336 Å, c = 5.336 Å
α = 60.00°, β = 60.00°, γ = 60.00°
Fractional coordinates of all 3 atoms:
1 Pm 0.000 0.000 0.000
2 Th 0.500 0.500 0.500
3 In 0.250 0.250 0.250

---

# 9
For Cu4Ag, a structure optimized by DFT (GGA-PBE) gives the theoretical XRD peak list in this record (Cu Ka).
Intensities are scaled so that the largest is 100.

Largest 10 diffraction maxima, in order of falling intensity, 10° ≤ 2θ ≤ 90°:
d 2.164, 41.7°, rel. 100
d 2.149, 42.1°, rel. 99
d 1.882, 48.4°, rel. 63
d 1.315, 71.8°, rel. 36
d 1.840, 49.5°, rel. 30
d 1.136, 85.5°, rel. 21
d 1.129, 86.1°, rel. 11
d 1.113, 87.7°, rel. 10
d 1.115, 87.5°, rel. 10
d 1.129, 86.2°, rel. 10

a = 6.998 Å, b = 6.998 Å, c = 5.350 Å
α = 101.07°, β = 101.07°, γ = 30.48°
Fractional coordinates of all 10 atoms:
1 Cu 0.001 0.001 0.268
2 Cu 0.199 0.199 0.836
3 Cu 0.205 0.205 0.362
4 Cu 0.400 0.400 0.451
5 Cu 0.600 0.600 0.549
6 Cu 0.795 0.795 0.638
7 Cu 0.801 0.801 0.164
8 Cu 0.999 0.999 0.732
9 Ag 0.396 0.396 0.947
10 Ag 0.604 0.604 0.053

---

# 10
For GdY2Sn6Pb, a structure optimized by DFT (GGA-PBE) gives the theoretical XRD peak list in this record (Cu Ka).
Intensities are scaled so that the largest is 100.

Largest 10 diffraction maxima, in order of falling intensity, 10° ≤ 2θ ≤ 90°:
d 2.715, 33.0°, rel. 100
d 1.357, 69.2°, rel. 23
d 2.664, 33.6°, rel. 21
d 2.249, 40.1°, rel. 15
d 2.214, 40.8°, rel. 15
d 1.548, 59.7°, rel. 13
d 1.372, 68.4°, rel. 13
d 1.718, 53.3°, rel. 12
d 1.578, 58.5°, rel. 11
d 1.703, 53.8°, rel. 11

a = 13.503 Å, b = 13.503 Å, c = 4.497 Å
α = 90.00°, β = 90.00°, γ = 161.12°
Fractional coordinates of all 10 atoms:
1 Gd 0.000 0.000 0.000
2 Y 0.311 0.689 0.500
3 Y 0.689 0.311 0.500
4 Sn 0.097 0.903 0.500
5 Sn 0.212 0.788 0.000
6 Sn 0.402 0.598 0.000
7 Sn 0.598 0.402 0.000
8 Sn 0.788 0.212 0.000
9 Sn 0.903 0.097 0.500
10 Pb 0.500 0.500 0.500

---

# 11
For TbScS2Br2, a structure optimized by DFT (GGA-PBE) gives the theoretical XRD peak list in this record (Cu Ka).
Intensities are scaled so that the largest is 100.

Largest 10 diffraction maxima, in order of falling intensity, 10° ≤ 2θ ≤ 90°:
d 4.529, 19.6°, rel. 100
d 2.956, 30.2°, rel. 84
d 1.963, 46.3°, rel. 50
d 2.166, 41.7°, rel. 42
d 2.970, 30.1°, rel. 39
d 2.625, 34.2°, rel. 35
d 1.574, 58.6°, rel. 20
d 1.804, 50.6°, rel. 18
d 1.967, 46.1°, rel. 14
d 2.239, 40.3°, rel. 13

a = 3.934 Å, b = 5.250 Å, c = 8.956 Å
α = 90.00°, β = 90.00°, γ = 90.00°
Fractional coordinates of all 6 atoms:
1 Tb 0.000 0.000 0.000
2 Sc 0.500 0.500 0.250
3 S 0.000 0.500 0.060
4 S 0.500 0.000 0.213
5 Br 0.000 0.500 0.456
6 Br 0.500 0.000 0.774

---

# 12
For ZnInGaTe2Se2, a structure optimized by DFT (GGA-PBE) gives the theoretical XRD peak list in this record (Cu Ka).
Intensities are scaled so that the largest is 100.

Largest 10 diffraction maxima, in order of falling intensity, 10° ≤ 2θ ≤ 90°:
d 3.461, 25.7°, rel. 100
d 3.402, 26.2°, rel. 84
d 2.123, 42.6°, rel. 67
d 2.086, 43.4°, rel. 41
d 1.797, 50.8°, rel. 29
d 2.068, 43.8°, rel. 19
d 1.824, 50.0°, rel. 14
d 5.314, 16.7°, rel. 13
d 1.805, 50.6°, rel. 12
d 1.776, 51.4°, rel. 12

a = 5.985 Å, b = 6.033 Å, c = 7.139 Å
α = 113.68°, β = 114.67°, γ = 90.02°
Fractional coordinates of all 7 atoms:
1 Zn 0.000 0.000 0.000
2 In 0.500 0.468 0.004
3 Ga 0.729 0.232 0.502
4 Te 0.108 0.616 0.719
5 Te 0.913 0.871 0.284
6 Se 0.363 0.359 0.270
7 Se 0.617 0.086 0.736

---

# 13
For NaSmNO, a structure optimized by DFT (GGA-PBE) gives the theoretical XRD peak list in this record (Cu Ka).
Intensities are scaled so that the largest is 100.

Largest 10 diffraction maxima, in order of falling intensity, 10° ≤ 2θ ≤ 90°:
d 2.680, 33.4°, rel. 100
d 7.053, 12.6°, rel. 78
d 3.560, 25.0°, rel. 68
d 2.654, 33.8°, rel. 36
d 2.834, 31.6°, rel. 24
d 1.605, 57.4°, rel. 21
d 1.742, 52.5°, rel. 20
d 2.074, 43.7°, rel. 19
d 2.062, 43.9°, rel. 18
d 1.484, 62.6°, rel. 14

a = 7.053 Å, b = 6.008 Å, c = 5.669 Å
α = 90.00°, β = 90.00°, γ = 90.00°
Fractional coordinates of all 16 atoms:
1 Na 0.111 0.088 0.250
2 Na 0.111 0.412 0.750
3 Na 0.889 0.588 0.250
4 Na 0.889 0.912 0.750
5 Sm 0.366 0.567 0.250
6 Sm 0.366 0.933 0.750
7 Sm 0.634 0.067 0.250
8 Sm 0.634 0.433 0.750
9 N 0.144 0.750 0.000
10 N 0.144 0.750 0.500
11 N 0.856 0.250 0.000
12 N 0.856 0.250 0.500
13 O 0.416 0.250 0.000
14 O 0.416 0.250 0.500
15 O 0.584 0.750 0.000
16 O 0.584 0.750 0.500